Diffraction record for VMoAs2. The powder X-ray diffraction pattern is theoretical, not measured: it uses a structure optimized by DFT (PBE) and Cu Kα X-rays.
Lines closer than 0.1° are merged.

Structural model:
abc: 3.372 6.370 5.930
angles: 90.00 90.00 90.00
Space group Pmc2_1 (No. 26)
One atom of each set of equivalent atoms:
V: 0.000 0.066 0.000 [2 per cell]
Mo: 0.500 0.434 0.981 [2 per cell]
As: 0.000 0.312 0.681 [2 per cell]
As: 0.500 0.171 0.299 [2 per cell]

Peak list (10 most intense, 10° ≤ 2θ ≤ 90°, by angle)
| 2θ/deg | I (rel.) | hkl |
| --- | --- | --- |
| 31.89 | 53 | 0 2 1 |
| 33.66 | 99 | 1 1 1 |
| 40.51 | 31 | 1 0 2 |
| 41.62 | 48 | 0 2 2 |
| 41.88 | 75 | 1 2 1 |
| 43.03 | 100 | 1 1 2 |
| 48.21 | 36 | 0 1 3 |
| 50.81 | 35 | 1 3 0 |
| 54.42 | 34 | 2 0 0 |
| 82.96 | 33 | 1 4 3 |


Diffraction record for EuSnF7. The powder X-ray diffraction pattern is theoretical, not measured: it uses a structure optimized by DFT (PBE) and Cu Kα X-rays.
Lines closer than 0.1° are merged.

Structural model:
abc: 6.149 5.872 8.397
angles: 90.00 102.69 90.00
Space group P2_1 (No. 4)
One atom of each set of equivalent atoms:
Eu: 0.159 0.000 0.190 [2 per cell]
Sn: 0.312 0.007 0.725 [2 per cell]
F: 0.035 0.710 0.015 [2 per cell]
F: 0.070 0.775 0.706 [2 per cell]
F: 0.097 0.268 0.705 [2 per cell]
F: 0.273 0.002 0.483 [2 per cell]
F: 0.363 0.011 0.968 [2 per cell]
F: 0.444 0.737 0.265 [2 per cell]
F: 0.450 0.267 0.257 [2 per cell]

Peak list (10 most intense, 10° ≤ 2θ ≤ 90°, by angle)
| 2θ/deg | I (rel.) | hkl |
| --- | --- | --- |
| 21.17 | 100 | 1 1 0 |
| 21.70 | 37 | 0 0 2 |
| 22.27 | 13 | 1 1 -1 |
| 25.29 | 20 | 1 1 1 |
| 26.53 | 13 | 0 1 2 |
| 28.00 | 30 | 1 1 -2 |
| 30.44 | 13 | 0 2 0 |
| 42.81 | 16 | 2 2 -1 |
| 46.27 | 18 | 2 2 1 |
| 46.97 | 24 | 3 1 -1 |


Diffraction record for Pm7ErTl5. The powder X-ray diffraction pattern is theoretical, not measured: it uses a structure optimized by DFT (PBE) and Cu Kα X-rays.
Lines closer than 0.1° are merged.

Structural model:
abc: 6.763 10.814 11.121
angles: 90.00 90.00 90.00
Space group Imm2 (No. 44)
One atom of each set of equivalent atoms:
Pm: 0.000 0.000 0.000 [2 per cell]
Pm: 0.000 0.000 0.334 [2 per cell]
Pm: 0.000 0.315 0.107 [4 per cell]
Pm: 0.000 0.333 0.622 [4 per cell]
Pm: 0.000 0.500 0.349 [2 per cell]
Er: 0.000 0.000 0.672 [2 per cell]
Tl: 0.000 0.500 0.875 [2 per cell]
Tl: 0.243 0.238 0.863 [8 per cell]

Peak list (10 most intense, 10° ≤ 2θ ≤ 90°, by angle)
| 2θ/deg | I (rel.) | hkl |
| --- | --- | --- |
| 15.94 | 23 | 0 0 2 |
| 30.95 | 35 | 2 0 2 |
| 31.20 | 49 | 2 2 0 |
| 32.18 | 56 | 0 0 4 |
| 32.43 | 49 | 1 3 2 |
| 33.14 | 27 | 0 4 0 |
| 35.22 | 100 | 2 2 2 |
| 36.96 | 42 | 0 4 2 |
| 57.99 | 23 | 2 6 0 |
| 59.38 | 30 | 2 2 6 |


Diffraction record for Co2Os. The powder X-ray diffraction pattern is theoretical, not measured: it uses a structure optimized by DFT (PBE) and Cu Kα X-rays.
Lines closer than 0.1° are merged.

Structural model:
abc: 2.589 3.589 7.568
angles: 90.00 90.00 90.00
Space group Immm (No. 71)
One atom of each set of equivalent atoms:
Co: 0.000 0.000 0.166 [4 per cell]
Os: 0.000 0.000 0.500 [2 per cell]

Peak list (10 most intense, 10° ≤ 2θ ≤ 90°, by angle)
| 2θ/deg | I (rel.) | hkl |
| --- | --- | --- |
| 23.51 | 39 | 0 0 2 |
| 27.51 | 52 | 0 1 1 |
| 36.69 | 25 | 1 0 1 |
| 43.08 | 100 | 1 1 0 |
| 43.87 | 95 | 0 1 3 |
| 49.66 | 23 | 1 1 2 |
| 50.51 | 62 | 1 0 3 |
| 50.89 | 30 | 0 2 0 |
| 74.53 | 38 | 1 2 3 |
| 89.34 | 24 | 2 1 3 |


Diffraction record for HfNb2Se4S2. The powder X-ray diffraction pattern is theoretical, not measured: it uses a structure optimized by DFT (PBE) and Cu Kα X-rays.
Lines closer than 0.1° are merged.

Structural model:
abc: 3.5028 3.5028 21.4791
angles: 90.00 90.00 120.00
Space group P3m1 (No. 156)
One atom of each set of equivalent atoms:
Hf: 0.0000 0.0000 0.0000 [1 per cell]
Nb: 0.0000 0.0000 0.6529 [1 per cell]
Nb: 0.6667 0.3333 0.3223 [1 per cell]
Se: 0.0000 0.0000 0.2443 [1 per cell]
Se: 0.0000 0.0000 0.4005 [1 per cell]
Se: 0.6667 0.3333 0.5748 [1 per cell]
Se: 0.6667 0.3333 0.7309 [1 per cell]
S: 0.6667 0.3333 0.0733 [1 per cell]
S: 0.6667 0.3333 0.9267 [1 per cell]

Peak list (10 most intense, 10° ≤ 2θ ≤ 90°, by angle)
| 2θ/deg | I (rel.) | hkl |
| --- | --- | --- |
| 12.36 | 100 | 0 0 3 |
| 29.44 | 35 | 1 0 0 |
| 32.04 | 23 | 0 1 3 |
| 33.94 | 19 | 1 0 4 |
| 36.25 | 54 | 0 1 5 |
| 41.88 | 18 | 1 0 7 |
| 45.09 | 32 | 0 1 8 |
| 52.23 | 27 | 1 1 0 |
| 53.89 | 14 | 1 1 3 |
| 88.17 | 13 | 1 2 5 |


Diffraction record for KSrP. The powder X-ray diffraction pattern is theoretical, not measured: it uses a structure optimized by DFT (PBE) and Cu Kα X-rays.
Lines closer than 0.1° are merged.

Structural model:
abc: 8.559 5.115 8.881
angles: 90.00 90.00 90.00
Space group Pnma (No. 62)
One atom of each set of equivalent atoms:
K: 0.020 0.250 0.169 [4 per cell]
Sr: 0.151 0.250 0.585 [4 per cell]
P: 0.207 0.750 0.400 [4 per cell]

Peak list (10 most intense, 10° ≤ 2θ ≤ 90°, by angle)
| 2θ/deg | I (rel.) | hkl |
| --- | --- | --- |
| 14.37 | 31 | 1 0 1 |
| 20.02 | 18 | 0 0 2 |
| 22.58 | 42 | 1 0 2 |
| 27.17 | 44 | 2 1 0 |
| 28.59 | 99 | 1 1 2 |
| 29.00 | 64 | 2 1 1 |
| 32.98 | 52 | 3 0 1 |
| 35.05 | 100 | 0 2 0 |
| 48.92 | 33 | 3 2 1 |
| 55.43 | 26 | 3 1 4 |


Repeat the fourth record exactly.
Diffraction record for Co2Os. The powder X-ray diffraction pattern is theoretical, not measured: it uses a structure optimized by DFT (PBE) and Cu Kα X-rays.
Lines closer than 0.1° are merged.

Structural model:
abc: 2.589 3.589 7.568
angles: 90.00 90.00 90.00
Space group Immm (No. 71)
One atom of each set of equivalent atoms:
Co: 0.000 0.000 0.166 [4 per cell]
Os: 0.000 0.000 0.500 [2 per cell]

Peak list (10 most intense, 10° ≤ 2θ ≤ 90°, by angle)
| 2θ/deg | I (rel.) | hkl |
| --- | --- | --- |
| 23.51 | 39 | 0 0 2 |
| 27.51 | 52 | 0 1 1 |
| 36.69 | 25 | 1 0 1 |
| 43.08 | 100 | 1 1 0 |
| 43.87 | 95 | 0 1 3 |
| 49.66 | 23 | 1 1 2 |
| 50.51 | 62 | 1 0 3 |
| 50.89 | 30 | 0 2 0 |
| 74.53 | 38 | 1 2 3 |
| 89.34 | 24 | 2 1 3 |